The following is a computed powder diffraction line list of PmGa2Ni. It was derived from the GGA-PBE geometry in Alexandria, using Cu Kα X-rays.
Neutral-atom scattering factors, no anomalous dispersion.

```
PmGa2Ni
1.0
4.205 0.000 0.000
0.000 17.587 0.000
0.000 0.000 4.116
Pm Ga Ni
4 8 4
Cartesian
0.000 2.476 0.000
0.000 15.111 0.000
2.103 6.318 0.000
2.103 11.269 0.000
0.000 0.000 2.058
0.000 5.115 2.058
0.000 8.794 0.000
0.000 12.472 2.058
2.103 0.000 0.000
2.103 3.679 2.058
2.103 8.794 2.058
2.103 13.908 2.058
0.000 7.492 2.058
0.000 10.095 2.058
2.103 1.302 2.058
2.103 16.285 2.058
```

Main lines, in order of rising 2θ (5° ≤ 2θ ≤ 70°):
26.1 deg, I 14, hkl 1 3 0; 29.7 deg, I 29, hkl 0 4 1; 30.8 deg, I 21, hkl 1 1 1; 34.1 deg, I 100, hkl 1 3 1; 37.7 deg, I 14, hkl 0 6 1; 41.9 deg, I 38, hkl 1 7 0; 43.0 deg, I 28, hkl 2 0 0; 44.0 deg, I 27, hkl 0 0 2; 62.4 deg, I 23, hkl 1 7 2; 63.2 deg, I 18, hkl 2 0 2

***

The following is a computed powder diffraction line list of Li2YCl5. It was derived from the GGA-PBE geometry in Alexandria, using Cu Kα X-rays.
Neutral-atom scattering factors, no anomalous dispersion.

```
Li2YCl5
1.0
11.497 0.000 0.000
0.000 8.019 0.000
-3.426 0.000 5.753
Li Y Cl
4 2 10
Cartesian
0.000 1.686 0.000
0.000 6.333 0.000
5.748 2.323 0.000
5.748 5.696 0.000
2.378 4.009 1.368
8.126 0.000 1.368
-0.727 0.000 1.617
-0.213 4.009 0.763
2.423 1.831 0.066
2.423 6.188 0.066
1.917 4.009 3.927
5.535 0.000 0.763
5.021 4.009 1.617
8.171 2.178 0.066
8.171 5.841 0.066
7.665 0.000 3.927
```

Main lines, in order of rising 2θ (5° ≤ 2θ ≤ 70°):
14.2 deg, I 100, hkl 1 1 0; 15.4 deg, I 78, hkl 0 0 1; 17.3 deg, I 46, hkl 1 1 -1; 22.2 deg, I 19, hkl 0 2 0; 27.1 deg, I 28, hkl 0 2 1; 29.7 deg, I 35, hkl 1 1 -2; 31.3 deg, I 37, hkl 4 0 -1; 34.8 deg, I 17, hkl 1 3 0; 38.5 deg, I 35, hkl 0 2 2; 53.1 deg, I 18, hkl 5 3 -1

***

The following is a computed powder diffraction line list of Tl4In2O9. It was derived from the GGA-PBE geometry in Alexandria, using Cu Kα X-rays.
Neutral-atom scattering factors, no anomalous dispersion.

```
Tl4In2O9
1.0
5.764 0.000 0.000
-2.882 4.992 0.000
0.000 0.000 15.069
Tl In O
8 4 18
Cartesian
0.000 3.328 2.910
0.000 3.328 7.106
0.000 3.328 10.444
0.000 3.328 14.641
2.882 1.664 0.428
2.882 1.664 4.625
2.882 1.664 7.963
2.882 1.664 12.160
0.000 0.000 2.155
0.000 0.000 5.380
0.000 0.000 9.689
0.000 0.000 12.915
-0.816 1.414 3.767
-2.066 3.578 11.302
-0.807 1.800 8.804
-1.727 3.393 1.269
1.632 0.000 3.767
0.816 1.414 11.302
0.807 1.800 1.269
-0.920 4.791 8.804
1.962 0.201 13.800
1.155 1.599 6.266
1.727 3.393 8.804
0.920 4.791 1.269
3.802 0.201 6.266
2.075 3.192 13.800
4.132 0.000 11.302
2.066 3.578 3.767
4.609 1.599 13.800
3.689 3.192 6.266
```

Main lines, in order of rising 2θ (5° ≤ 2θ ≤ 70°):
17.8 deg, I 9, hkl 1 0 0; 21.4 deg, I 12, hkl 1 0 2; 29.7 deg, I 100, hkl 0 1 4; 31.0 deg, I 91, hkl 1 1 0; 43.5 deg, I 40, hkl 2 0 4; 48.1 deg, I 23, hkl 1 1 6; 51.9 deg, I 14, hkl 1 0 8; 54.4 deg, I 40, hkl 1 2 4; 55.2 deg, I 25, hkl 3 0 0; 64.6 deg, I 21, hkl 2 2 0